The following is a simulated X-ray powder pattern of HfZr4In3. It was derived from a DFT-relaxed cell (PBE, Alexandria), using copper Kα.

Cell and atoms:
a = 10.396 Å, b = 6.371 Å, c = 5.414 Å
α = 90.00°, β = 90.00°, γ = 90.00°
Atoms (fractional coordinates):
Hf1 0.000 0.000 0.000
Hf2 0.500 0.000 0.000
Zr1 0.000 0.242 0.500
Zr2 0.000 0.758 0.500
Zr3 0.250 0.246 0.153
Zr4 0.250 0.754 0.153
Zr5 0.500 0.242 0.500
Zr6 0.500 0.758 0.500
Zr7 0.750 0.246 0.847
Zr8 0.750 0.754 0.847
In1 0.000 0.500 0.000
In2 0.250 0.000 0.662
In3 0.250 0.500 0.648
In4 0.500 0.500 0.000
In5 0.750 0.000 0.338
In6 0.750 0.500 0.352

Largest 10 diffraction maxima, in order of rising 2θ, 2θ = 15–90°:
2.654 Å, 33.77 deg, I = 30.0; 2.620 Å, 34.23 deg, I = 18.6; 2.599 Å, 34.51 deg, I = 47.8; 2.428 Å, 37.03 deg, I = 100.0; 2.401 Å, 37.46 deg, I = 37.6; 2.152 Å, 41.98 deg, I = 16.2; 1.570 Å, 58.81 deg, I = 19.2; 1.465 Å, 63.49 deg, I = 20.8; 1.358 Å, 69.18 deg, I = 12.0; 1.344 Å, 70.01 deg, I = 22.6


The following is a simulated X-ray powder pattern of HfZr6In5. It was derived from a DFT-relaxed cell (PBE, Alexandria), using copper Kα.

Cell and atoms:
a = 5.386 Å, b = 6.392 Å, c = 7.787 Å
α = 90.00°, β = 93.19°, γ = 90.00°
Atoms (fractional coordinates):
Hf1 0.000 0.000 0.000
Zr1 0.161 0.249 0.332
Zr2 0.161 0.751 0.332
Zr3 0.500 0.246 0.000
Zr4 0.500 0.754 0.000
Zr5 0.839 0.249 0.668
Zr6 0.839 0.751 0.668
In1 0.000 0.500 0.000
In2 0.331 0.000 0.672
In3 0.336 0.500 0.664
In4 0.664 0.500 0.336
In5 0.669 0.000 0.328

Largest 10 diffraction maxima, in order of rising 2θ, 2θ = 15–90°:
2.589 Å, 34.65 deg, I = 100.0; 2.568 Å, 34.94 deg, I = 97.8; 2.274 Å, 39.63 deg, I = 68.7; 2.156 Å, 41.91 deg, I = 29.3; 1.619 Å, 56.89 deg, I = 11.6; 1.566 Å, 58.99 deg, I = 20.8; 1.563 Å, 59.09 deg, I = 20.6; 1.370 Å, 68.48 deg, I = 13.1; 1.368 Å, 68.58 deg, I = 13.0; 1.360 Å, 69.07 deg, I = 25.6


The following is a simulated X-ray powder pattern of Hf7ZrIn3. It was derived from a DFT-relaxed cell (PBE, Alexandria), using copper Kα.

Cell and atoms:
a = 7.535 Å, b = 7.535 Å, c = 5.133 Å
α = 109.86°, β = 109.86°, γ = 84.84°
Atoms (fractional coordinates):
Hf1 0.000 0.000 0.000
Hf2 0.089 0.489 0.289
Hf3 0.300 0.300 0.799
Hf4 0.489 0.089 0.289
Hf5 0.511 0.911 0.711
Hf6 0.700 0.700 0.201
Hf7 0.911 0.511 0.711
Zr1 0.000 0.000 0.500
In1 0.283 0.717 0.000
In2 0.500 0.500 0.500
In3 0.717 0.283 0.000

Largest 10 diffraction maxima, in order of rising 2θ, 2θ = 15–90°:
3.132 Å, 28.50 deg, I = 22.0; 2.828 Å, 31.64 deg, I = 20.1; 2.566 Å, 34.96 deg, I = 63.2; 2.541 Å, 35.32 deg, I = 27.1; 2.469 Å, 36.39 deg, I = 25.3; 2.454 Å, 36.62 deg, I = 100.0; 2.433 Å, 36.95 deg, I = 64.9; 1.806 Å, 50.54 deg, I = 19.5; 1.779 Å, 51.35 deg, I = 18.8; 1.459 Å, 63.80 deg, I = 24.6


The following is a simulated X-ray powder pattern of Hf3Zr5In2. It was derived from a DFT-relaxed cell (PBE, Alexandria), using copper Kα.

Cell and atoms:
a = 7.847 Å, b = 3.200 Å, c = 9.423 Å
α = 90.00°, β = 104.54°, γ = 90.00°
Atoms (fractional coordinates):
Hf1 0.000 0.000 0.000
Hf2 0.383 0.000 0.194
Hf3 0.617 0.000 0.806
Zr1 0.098 0.500 0.301
Zr2 0.304 0.500 0.902
Zr3 0.500 0.500 0.500
Zr4 0.696 0.500 0.098
Zr5 0.902 0.500 0.699
In1 0.213 0.000 0.606
In2 0.787 0.000 0.394

Largest 10 diffraction maxima, in order of rising 2θ, 2θ = 15–90°:
2.615 Å, 34.30 deg, I = 51.1; 2.606 Å, 34.41 deg, I = 49.6; 2.594 Å, 34.57 deg, I = 100.0; 2.273 Å, 39.64 deg, I = 66.7; 2.216 Å, 40.72 deg, I = 31.6; 1.589 Å, 58.06 deg, I = 21.3; 1.585 Å, 58.21 deg, I = 21.6; 1.372 Å, 68.35 deg, I = 12.3; 1.364 Å, 68.82 deg, I = 26.0; 1.341 Å, 70.16 deg, I = 18.5


The following is a simulated X-ray powder pattern of HfZr5In6. It was derived from a DFT-relaxed cell (PBE, Alexandria), using copper Kα.

Cell and atoms:
a = 8.335 Å, b = 8.335 Å, c = 8.335 Å
α = 148.98°, β = 115.60°, γ = 73.20°
Atoms (fractional coordinates):
Hf1 0.000 0.000 0.000
Zr1 0.165 0.665 0.500
Zr2 0.333 0.333 0.000
Zr3 0.500 0.000 0.500
Zr4 0.667 0.667 0.000
Zr5 0.835 0.335 0.500
In1 0.084 0.834 0.250
In2 0.250 0.500 0.750
In3 0.416 0.166 0.250
In4 0.584 0.834 0.750
In5 0.750 0.500 0.250
In6 0.916 0.166 0.750

Largest 10 diffraction maxima, in order of rising 2θ, 2θ = 15–90°:
2.571 Å, 34.90 deg, I = 100.0; 2.230 Å, 40.46 deg, I = 33.0; 2.221 Å, 40.63 deg, I = 16.3; 1.577 Å, 58.55 deg, I = 10.8; 1.573 Å, 58.68 deg, I = 21.5; 1.344 Å, 70.00 deg, I = 25.0; 1.340 Å, 70.24 deg, I = 12.4; 1.286 Å, 73.69 deg, I = 10.8; 1.115 Å, 87.50 deg, I = 3.5; 1.110 Å, 87.95 deg, I = 1.8


The following is a simulated X-ray powder pattern of Hf3Ir. It was derived from a DFT-relaxed cell (PBE, Alexandria), using copper Kα.

Cell and atoms:
a = 8.085 Å, b = 8.085 Å, c = 5.636 Å
α = 110.40°, β = 110.40°, γ = 83.02°
Atoms (fractional coordinates):
Hf1 0.000 0.000 0.000
Hf2 0.000 0.294 0.647
Hf3 0.161 0.647 0.136
Hf4 0.353 0.057 0.461
Hf5 0.353 0.237 0.051
Hf6 0.353 0.454 0.673
Hf7 0.353 0.839 0.864
Hf8 0.546 0.647 0.327
Hf9 0.706 0.000 0.353
Hf10 0.706 0.294 0.000
Hf11 0.763 0.647 0.949
Hf12 0.943 0.647 0.539
Ir1 0.062 0.356 0.209
Ir2 0.062 0.938 0.500
Ir3 0.644 0.356 0.500
Ir4 0.644 0.938 0.791

Largest 10 diffraction maxima, in order of rising 2θ, 2θ = 15–90°:
2.641 Å, 33.94 deg, I = 74.1; 2.629 Å, 34.10 deg, I = 95.9; 2.526 Å, 35.54 deg, I = 66.7; 2.396 Å, 37.53 deg, I = 40.7; 2.360 Å, 38.13 deg, I = 100.0; 2.261 Å, 39.87 deg, I = 76.4; 2.102 Å, 43.04 deg, I = 31.0; 1.509 Å, 61.47 deg, I = 23.4; 1.408 Å, 66.39 deg, I = 27.6; 1.335 Å, 70.57 deg, I = 30.8


The following is a simulated X-ray powder pattern of Hf3Ir. It was derived from a DFT-relaxed cell (PBE, Alexandria), using copper Kα.

Cell and atoms:
a = 10.790 Å, b = 10.790 Å, c = 5.554 Å
α = 90.00°, β = 90.00°, γ = 90.00°
Atoms (fractional coordinates):
Hf1 0.041 0.041 0.250
Hf2 0.041 0.459 0.750
Hf3 0.101 0.750 0.000
Hf4 0.154 0.154 0.750
Hf5 0.154 0.346 0.250
Hf6 0.250 0.601 0.500
Hf7 0.250 0.899 0.500
Hf8 0.346 0.154 0.250
Hf9 0.346 0.346 0.750
Hf10 0.399 0.750 0.000
Hf11 0.459 0.041 0.750
Hf12 0.459 0.459 0.250
Hf13 0.541 0.541 0.750
Hf14 0.541 0.959 0.250
Hf15 0.601 0.250 0.000
Hf16 0.654 0.654 0.250
Hf17 0.654 0.846 0.750
Hf18 0.750 0.101 0.500
Hf19 0.750 0.399 0.500
Hf20 0.846 0.654 0.750
Hf21 0.846 0.846 0.250
Hf22 0.899 0.250 0.000
Hf23 0.959 0.541 0.250
Hf24 0.959 0.959 0.750
Ir1 0.044 0.750 0.500
Ir2 0.250 0.544 0.000
Ir3 0.250 0.956 0.000
Ir4 0.456 0.750 0.500
Ir5 0.544 0.250 0.500
Ir6 0.750 0.044 0.000
Ir7 0.750 0.456 0.000
Ir8 0.956 0.250 0.500

Largest 10 diffraction maxima, in order of rising 2θ, 2θ = 15–90°:
2.634 Å, 34.03 deg, I = 100.0; 2.609 Å, 34.37 deg, I = 81.4; 2.543 Å, 35.29 deg, I = 75.1; 2.413 Å, 37.27 deg, I = 54.0; 2.367 Å, 38.01 deg, I = 68.4; 2.245 Å, 40.17 deg, I = 87.6; 2.213 Å, 40.78 deg, I = 35.2; 2.116 Å, 42.73 deg, I = 39.4; 1.510 Å, 61.40 deg, I = 50.1; 1.337 Å, 70.41 deg, I = 34.1


The following is a simulated X-ray powder pattern of Hf3Ir4. It was derived from a DFT-relaxed cell (PBE, Alexandria), using copper Kα.

Cell and atoms:
a = 7.304 Å, b = 7.304 Å, c = 7.304 Å
α = 113.76°, β = 113.76°, γ = 113.76°
Atoms (fractional coordinates):
Hf1 0.002 0.402 0.262
Hf2 0.262 0.002 0.402
Hf3 0.402 0.262 0.002
Hf4 0.598 0.738 0.998
Hf5 0.738 0.998 0.598
Hf6 0.998 0.598 0.738
Ir1 0.000 0.000 0.000
Ir2 0.079 0.244 0.538
Ir3 0.244 0.538 0.079
Ir4 0.462 0.921 0.756
Ir5 0.500 0.500 0.500
Ir6 0.538 0.079 0.244
Ir7 0.756 0.462 0.921
Ir8 0.921 0.756 0.462

Largest 10 diffraction maxima, in order of rising 2θ, 2θ = 15–90°:
2.697 Å, 33.22 deg, I = 6.5; 2.468 Å, 36.41 deg, I = 9.0; 2.312 Å, 38.95 deg, I = 100.0; 2.288 Å, 39.37 deg, I = 78.9; 2.023 Å, 44.81 deg, I = 6.3; 1.627 Å, 56.59 deg, I = 23.3; 1.335 Å, 70.55 deg, I = 14.0; 1.330 Å, 70.83 deg, I = 21.3; 1.317 Å, 71.64 deg, I = 6.7; 1.156 Å, 83.65 deg, I = 7.9


The following is a simulated X-ray powder pattern of LaHfScIr2. It was derived from a DFT-relaxed cell (PBE, Alexandria), using copper Kα.

Cell and atoms:
a = 4.400 Å, b = 4.400 Å, c = 11.571 Å
α = 90.00°, β = 90.00°, γ = 90.00°
Atoms (fractional coordinates):
La1 0.000 0.000 0.000
La2 0.500 0.500 0.500
Hf1 0.000 0.500 0.250
Hf2 0.500 0.000 0.750
Sc1 0.000 0.500 0.750
Sc2 0.500 0.000 0.250
Ir1 0.000 0.000 0.385
Ir2 0.000 0.000 0.615
Ir3 0.500 0.500 0.115
Ir4 0.500 0.500 0.885

Largest 10 diffraction maxima, in order of rising 2θ, 2θ = 15–90°:
4.113 Å, 21.61 deg, I = 64.2; 3.111 Å, 28.69 deg, I = 36.7; 2.900 Å, 30.83 deg, I = 100.0; 2.740 Å, 32.68 deg, I = 99.5; 2.200 Å, 41.02 deg, I = 88.9; 2.119 Å, 42.68 deg, I = 60.0; 2.048 Å, 44.22 deg, I = 64.0; 1.753 Å, 52.18 deg, I = 46.6; 1.556 Å, 59.41 deg, I = 30.0; 1.499 Å, 61.89 deg, I = 47.6


The following is a simulated X-ray powder pattern of LaHfTiIr2. It was derived from a DFT-relaxed cell (PBE, Alexandria), using copper Kα.

Cell and atoms:
a = 4.407 Å, b = 4.407 Å, c = 11.044 Å
α = 90.00°, β = 90.00°, γ = 90.00°
Atoms (fractional coordinates):
La1 0.000 0.000 0.000
La2 0.500 0.500 0.500
Hf1 0.000 0.500 0.250
Hf2 0.500 0.000 0.750
Ti1 0.000 0.500 0.750
Ti2 0.500 0.000 0.250
Ir1 0.000 0.000 0.379
Ir2 0.000 0.000 0.621
Ir3 0.500 0.500 0.121
Ir4 0.500 0.500 0.879

Largest 10 diffraction maxima, in order of rising 2θ, 2θ = 15–90°:
4.093 Å, 21.71 deg, I = 54.0; 3.116 Å, 28.64 deg, I = 33.6; 2.825 Å, 31.67 deg, I = 100.0; 2.714 Å, 33.00 deg, I = 80.1; 2.204 Å, 40.95 deg, I = 83.6; 2.067 Å, 43.81 deg, I = 54.4; 1.975 Å, 45.96 deg, I = 46.2; 1.738 Å, 52.68 deg, I = 48.6; 1.558 Å, 59.31 deg, I = 28.2; 1.471 Å, 63.23 deg, I = 35.9


The following is a simulated X-ray powder pattern of LiHf6Ir5. It was derived from a DFT-relaxed cell (PBE, Alexandria), using copper Kα.

Cell and atoms:
a = 7.942 Å, b = 7.942 Å, c = 4.588 Å
α = 103.90°, β = 103.90°, γ = 49.50°
Atoms (fractional coordinates):
Li1 0.000 0.000 0.000
Hf1 0.086 0.579 0.833
Hf2 0.254 0.746 0.500
Hf3 0.421 0.914 0.167
Hf4 0.579 0.086 0.833
Hf5 0.746 0.254 0.500
Hf6 0.914 0.421 0.167
Ir1 0.154 0.154 0.638
Ir2 0.325 0.325 0.317
Ir3 0.500 0.500 0.000
Ir4 0.675 0.675 0.683
Ir5 0.846 0.846 0.362

Largest 10 diffraction maxima, in order of rising 2θ, 2θ = 15–90°:
2.361 Å, 38.12 deg, I = 70.8; 2.318 Å, 38.85 deg, I = 32.8; 2.294 Å, 39.28 deg, I = 100.0; 1.676 Å, 54.76 deg, I = 11.6; 1.662 Å, 55.26 deg, I = 12.6; 1.359 Å, 69.09 deg, I = 11.1; 1.351 Å, 69.59 deg, I = 12.0; 1.348 Å, 69.76 deg, I = 11.8; 1.345 Å, 69.92 deg, I = 12.4; 1.311 Å, 72.02 deg, I = 11.5


The following is a simulated X-ray powder pattern of LiHf3Ir3. It was derived from a DFT-relaxed cell (PBE, Alexandria), using copper Kα.

Cell and atoms:
a = 6.304 Å, b = 6.080 Å, c = 6.722 Å
α = 90.00°, β = 90.27°, γ = 90.00°
Atoms (fractional coordinates):
Li1 0.246 0.000 0.246
Li2 0.754 0.000 0.754
Hf1 0.236 0.500 0.768
Hf2 0.253 0.000 0.748
Hf3 0.255 0.500 0.253
Hf4 0.745 0.500 0.747
Hf5 0.747 0.000 0.252
Hf6 0.764 0.500 0.232
Ir1 0.000 0.250 0.500
Ir2 0.000 0.750 0.500
Ir3 0.500 0.248 0.000
Ir4 0.500 0.252 0.500
Ir5 0.500 0.748 0.500
Ir6 0.500 0.752 0.000

Largest 10 diffraction maxima, in order of rising 2θ, 2θ = 15–90°:
4.609 Å, 19.26 deg, I = 33.4; 3.668 Å, 24.27 deg, I = 18.1; 2.305 Å, 39.09 deg, I = 52.3; 2.294 Å, 39.28 deg, I = 52.9; 2.254 Å, 39.99 deg, I = 100.0; 2.188 Å, 41.26 deg, I = 91.9; 1.680 Å, 54.61 deg, I = 19.9; 1.335 Å, 70.55 deg, I = 18.1; 1.331 Å, 70.81 deg, I = 18.8; 1.290 Å, 73.41 deg, I = 17.1


The following is a simulated X-ray powder pattern of HfMoIr6. It was derived from a DFT-relaxed cell (PBE, Alexandria), using copper Kα.

Cell and atoms:
a = 5.569 Å, b = 5.569 Å, c = 3.909 Å
α = 90.00°, β = 90.00°, γ = 90.00°
Atoms (fractional coordinates):
Hf1 0.000 0.000 0.000
Mo1 0.500 0.500 0.000
Ir1 0.000 0.500 0.000
Ir2 0.258 0.258 0.500
Ir3 0.258 0.742 0.500
Ir4 0.500 0.000 0.000
Ir5 0.742 0.258 0.500
Ir6 0.742 0.742 0.500

Largest 10 diffraction maxima, in order of rising 2θ, 2θ = 15–90°:
3.938 Å, 22.58 deg, I = 1.1; 3.199 Å, 27.89 deg, I = 1.6; 2.268 Å, 39.74 deg, I = 100.0; 1.969 Å, 46.10 deg, I = 32.8; 1.954 Å, 46.47 deg, I = 16.2; 1.392 Å, 67.24 deg, I = 10.6; 1.387 Å, 67.53 deg, I = 21.2; 1.187 Å, 81.04 deg, I = 25.5; 1.180 Å, 81.58 deg, I = 12.8; 1.134 Å, 85.66 deg, I = 11.3